# Ti7In2N2
Theoretical powder diffractogram, Cu Kα. Input: the GGA-PBE geometry in Alexandria.
No peak broadening, texture or thermal motion is included.

Principal peaks in the range 2θ = 10–90°, by angle:
2theta	I_rel
19.88	334
25.12	851
30.53	537
35.01	591
36.70	799
36.84	694
40.39	766
44.19	355
45.58	303
45.84	1000

Cell and atoms:
Unit cell a=5.606 b=5.606 c=5.825 alpha=90.00 beta=90.00 gamma=105.64
Positions (direct):
Ti 0.000 0.000 0.000
Ti 0.000 0.500 0.216
Ti 0.000 0.500 0.784
Ti 0.500 0.000 0.216
Ti 0.500 0.000 0.784
Ti 0.500 0.500 0.210
Ti 0.500 0.500 0.790
In 0.192 0.192 0.500
In 0.808 0.808 0.500
N 0.271 0.729 0.000
N 0.729 0.271 0.000



# Tm3InN4
Theoretical powder diffractogram, Cu Kα. Input: the GGA-PBE geometry in Alexandria.
No peak broadening, texture or thermal motion is included.

Principal peaks in the range 2θ = 10–90°, by angle:
2theta	I_rel
18.50	23
26.28	20
32.33	1000
37.51	716
42.13	12
54.08	485
64.43	437
67.67	162
80.03	76
88.96	193

Cell and atoms:
Unit cell a=4.796 b=4.796 c=4.796 alpha=90.00 beta=90.00 gamma=90.00
Positions (direct):
Tm 0.000 0.000 0.500
Tm 0.000 0.500 0.000
Tm 0.500 0.000 0.000
In 0.500 0.500 0.500
N 0.000 0.000 0.000
N 0.000 0.500 0.500
N 0.500 0.000 0.500
N 0.500 0.500 0.000



# UZnInN
Theoretical powder diffractogram, Cu Kα. Input: the GGA-PBE geometry in Alexandria.
No peak broadening, texture or thermal motion is included.

Principal peaks in the range 2θ = 10–90°, by angle:
2theta	I_rel
30.52	1000
32.41	903
37.60	265
39.23	393
43.66	466
54.23	569
55.47	195
60.15	299
73.08	214
88.21	225

Cell and atoms:
Unit cell a=4.146 b=4.146 c=8.275 alpha=90.00 beta=90.00 gamma=90.00
Positions (direct):
U 0.250 0.250 0.120
U 0.750 0.750 0.880
Zn 0.250 0.250 0.727
Zn 0.750 0.750 0.273
In 0.250 0.750 0.500
In 0.750 0.250 0.500
N 0.250 0.750 0.000
N 0.750 0.250 0.000



# VIn3N
Theoretical powder diffractogram, Cu Kα. Input: the GGA-PBE geometry in Alexandria.
No peak broadening, texture or thermal motion is included.

Principal peaks in the range 2θ = 10–90°, by angle:
2theta	I_rel
19.00	130
27.00	45
33.23	1000
38.56	567
43.32	61
55.67	369
59.37	29
66.39	383
69.76	121
82.64	57

Cell and atoms:
Unit cell a=4.670 b=4.670 c=4.670 alpha=90.00 beta=90.00 gamma=90.00
Positions (direct):
V 0.000 0.000 0.000
In 0.000 0.500 0.500
In 0.500 0.000 0.500
In 0.500 0.500 0.000
N 0.500 0.500 0.500